For Zr6Co2O, a structure optimized by DFT (GGA+U) gives the simulated X-ray diffraction stick pattern in this record (a wavelength of 1.5418 Å).
Lines closer than 0.1° are merged.

The 10 most intense peaks (10° ≤ 2θ ≤ 90°), sorted by position:
31.7°, rel. 26, hkl 4 0 0; 32.9°, rel. 87, hkl 2 0 -3; 33.1°, rel. 34, hkl 4 0 -1; 34.7°, rel. 100, hkl 1 1 2; 37.2°, rel. 25, hkl 4 0 -2; 37.9°, rel. 81, hkl 3 1 1; 41.0°, rel. 39, hkl 1 1 -3; 41.6°, rel. 35, hkl 3 1 2; 62.5°, rel. 30, hkl 3 1 5; 64.5°, rel. 23, hkl 7 1 0

Structural model:
Lattice parameters (Å, degrees): 11.3029 3.2367 9.3309 90.00 90.07 90.00
Space group Cm (No. 8)
Symmetry-distinct sites (fractional):
Zr 0.0000 0.0000 0.0000
Zr 0.0025 0.0000 0.6252
Zr 0.0521 0.5000 0.2925
Zr 0.2146 0.5000 0.8120
Zr 0.2686 0.0000 0.1078
Zr 0.2791 0.0000 0.4991
Co 0.3574 0.5000 0.2963
Co 0.4014 0.0000 0.8125
O 0.1040 0.0000 0.4377